Tb7InSn5: calculated X-ray powder pattern (copper Kα), based on a structure optimized by DFT (PBE).
Peak positions follow from Bragg's law for the DFT cell and can differ from measured ones.

```
data_Tb7InSn5
_cell_length_a 6.239
_cell_length_b 11.332
_cell_length_c 10.568
_cell_angle_alpha 90.00
_cell_angle_beta 90.00
_cell_angle_gamma 90.00
_space_group_name_H-M_alt 'I m m 2'
_space_group_IT_number 44
loop_
_space_group_symop_operation_xyz
'x,y,z'
'-x,-y,z'
'-x,y,z'
'x,-y,z'
'x+1/2,y+1/2,z+1/2'
'-x+1/2,-y+1/2,z+1/2'
'-x+1/2,y+1/2,z+1/2'
'x+1/2,-y+1/2,z+1/2'
loop_
_atom_site_label
_atom_site_type_symbol
_atom_site_fract_x
_atom_site_fract_y
_atom_site_fract_z
_atom_site_occupancy
Tb1 Tb 0.000 0.000 0.000 1
Tb2 Tb 0.000 0.000 0.379 1
Tb3 Tb 0.000 0.334 0.610 1
Tb4 Tb 0.000 0.337 0.094 1
Tb5 Tb 0.000 0.500 0.343 1
In1 In 0.000 0.000 0.684 1
Sn1 Sn 0.000 0.500 0.849 1
Sn2 Sn 0.250 0.240 0.855 1
```

Largest 10 diffraction maxima, in order of falling intensity, 5 to 70 degrees two-theta:
index  two_theta  I (rel.)
2 2 2  37.0  100
1 3 2  32.5  88
0 4 2  36.0  57
1 3 0  27.6  54
2 6 0  57.0  49
2 2 0  32.8  45
0 0 4  33.9  45
1 1 4  37.8  35
2 0 2  33.4  34
2 2 6  62.8  33